No. 1
Computed XRD peak list
Compound: YTa4Cl
Radiation: Cu Kα (weighted mean of Kα1 and Kα2)
Structure: a DFT-relaxed cell (GGA-PBE, Alexandria)

```
data_YTa4Cl
_cell_length_a 8.0748
_cell_length_b 8.0748
_cell_length_c 8.0748
_cell_angle_alpha 90.00
_cell_angle_beta 90.00
_cell_angle_gamma 90.00
_space_group_name_H-M_alt 'F -4 3 m'
_space_group_IT_number 216
_space_group_name_Hall 'F -4 2 3'
loop_
_atom_site_label
_atom_site_type_symbol
_atom_site_fract_x
_atom_site_fract_y
_atom_site_fract_z
Y1 Y 0.0000 0.0000 0.0000
Ta1 Ta 0.1292 0.1292 0.3708
Cl1 Cl 0.2500 0.2500 0.7500
```

Largest 12 diffraction maxima, in order of rising 2θ, 2θ from 5° to 70°:
19.04 deg, rel. 65, (1 1 1); 31.33 deg, rel. 7, (2 2 0); 36.92 deg, rel. 100, (3 1 1); 38.63 deg, rel. 75, (2 2 2); 44.90 deg, rel. 25, (4 0 0); 49.18 deg, rel. 16, (3 3 1); 50.55 deg, rel. 2, (4 2 0); 55.77 deg, rel. 3, (4 2 2); 59.48 deg, rel. 34, (3 3 3); 65.38 deg, rel. 33, (4 4 0); 68.78 deg, rel. 12, (5 3 1); 69.90 deg, rel. 1, (6 0 0)


No. 2
Computed XRD peak list
Compound: Ta2ZnCl8
Radiation: Cu Kα (weighted mean of Kα1 and Kα2)
Structure: a DFT-relaxed cell (GGA-PBE, Alexandria)

```
data_Ta2ZnCl8
_cell_length_a 14.2084
_cell_length_b 6.6760
_cell_length_c 8.5222
_cell_angle_alpha 90.00
_cell_angle_beta 100.18
_cell_angle_gamma 90.00
_space_group_name_H-M_alt 'C 1 2/m 1'
_space_group_IT_number 12
loop_
_space_group_symop_operation_xyz
'x,y,z'
'-x,-y,-z'
'-x,y,-z'
'x,-y,z'
'x+1/2,y+1/2,z'
'-x+1/2,-y+1/2,-z'
'-x+1/2,y+1/2,-z'
'x+1/2,-y+1/2,z'
loop_
_atom_site_label
_atom_site_type_symbol
_atom_site_fract_x
_atom_site_fract_y
_atom_site_fract_z
Ta1 Ta 0.2500 0.0000 0.9999
Zn1 Zn 0.0000 0.0000 0.5000
Cl1 Cl 0.1216 0.2493 0.9099
Cl2 Cl 0.2090 0.5000 0.2507
Cl3 Cl 0.2119 0.0000 0.2524
```

Largest 12 diffraction maxima, in order of rising 2θ, 2θ from 5° to 70°:
10.55 deg, rel. 100, (0 0 1); 12.66 deg, rel. 68, (2 0 0); 14.99 deg, rel. 50, (2 0 -1); 17.89 deg, rel. 30, (2 0 1); 21.18 deg, rel. 14, (0 0 2); 25.48 deg, rel. 10, (4 0 0); 26.71 deg, rel. 13, (0 2 0); 29.66 deg, rel. 19, (2 2 0); 32.33 deg, rel. 46, (2 0 -3); 37.24 deg, rel. 24, (4 2 0); 40.11 deg, rel. 12, (4 2 1); 51.46 deg, rel. 11, (0 2 4)


No. 3
Computed XRD peak list
Compound: Tb2Cl5
Radiation: Cu Kα (weighted mean of Kα1 and Kα2)
Structure: a DFT-relaxed cell (GGA-PBE, Alexandria)

```
data_Tb2Cl5
_cell_length_a 14.5551
_cell_length_b 6.1560
_cell_length_c 7.4913
_cell_angle_alpha 90.00
_cell_angle_beta 97.50
_cell_angle_gamma 90.00
_space_group_name_H-M_alt 'C 1 2/c 1'
_space_group_IT_number 15
loop_
_space_group_symop_operation_xyz
'x,y,z'
'-x,-y,-z'
'-x,y,-z+1/2'
'x,-y,z+1/2'
'x+1/2,y+1/2,z'
'-x+1/2,-y+1/2,-z'
'-x+1/2,y+1/2,-z+1/2'
'x+1/2,-y+1/2,z+1/2'
loop_
_atom_site_label
_atom_site_type_symbol
_atom_site_fract_x
_atom_site_fract_y
_atom_site_fract_z
Tb1 Tb 0.1023 0.2120 0.0842
Cl1 Cl 0.0000 0.0889 0.7500
Cl2 Cl 0.0853 0.3789 0.4197
Cl3 Cl 0.2180 0.0720 0.8370
```

Largest 12 diffraction maxima, in order of rising 2θ, 2θ from 5° to 70°:
12.27 deg, rel. 18, (2 0 0); 20.20 deg, rel. 100, (1 1 1); 24.68 deg, rel. 20, (4 0 0); 25.26 deg, rel. 48, (3 1 -1); 25.50 deg, rel. 22, (2 0 -2); 36.93 deg, rel. 18, (4 0 2); 37.82 deg, rel. 17, (5 1 1); 38.44 deg, rel. 21, (4 2 0); 38.97 deg, rel. 50, (1 1 -3); 40.51 deg, rel. 17, (1 1 3); 42.01 deg, rel. 17, (6 0 -2); 47.51 deg, rel. 15, (5 1 -3)